(1)
Simulated XRD peak list of Ce3Co4Os for Cu Ka, from a DFT-relaxed cell (PBE, Alexandria).
Kinematic intensities with the Lorentz-polarization factor, no thermal factor.

Structure:
```
data_Ce3Co4Os
_cell_length_a 9.6944
_cell_length_b 10.2215
_cell_length_c 5.4745
_cell_angle_alpha 90.00
_cell_angle_beta 90.00
_cell_angle_gamma 90.00
_symmetry_space_group_name_H-M 'P 1'
_symmetry_Int_Tables_number 1
_symmetry_space_group_name_Hall 'P 1'
loop_
_atom_site_label
_atom_site_type_symbol
_atom_site_fract_x
_atom_site_fract_y
_atom_site_fract_z
Ce1 Ce 0.0730 0.2500 0.1520
Ce2 Ce 0.1564 0.0062 0.6552
Ce3 Ce 0.1564 0.4938 0.6552
Ce4 Ce 0.3436 0.5062 0.1552
Ce5 Ce 0.3436 0.9938 0.1552
Ce6 Ce 0.4270 0.7500 0.6520
Ce7 Ce 0.5730 0.2500 0.3480
Ce8 Ce 0.6564 0.0062 0.8448
Ce9 Ce 0.6564 0.4938 0.8448
Ce10 Ce 0.8436 0.5062 0.3448
Ce11 Ce 0.8436 0.9938 0.3448
Ce12 Ce 0.9270 0.7500 0.8480
Co1 Co 0.0727 0.5679 0.1499
Co2 Co 0.0727 0.9321 0.1499
Co3 Co 0.0843 0.2500 0.6548
Co4 Co 0.1994 0.7500 0.9023
Co5 Co 0.3006 0.2500 0.4023
Co6 Co 0.4157 0.7500 0.1548
Co7 Co 0.4273 0.0679 0.6499
Co8 Co 0.4273 0.4321 0.6499
Co9 Co 0.5727 0.5679 0.3501
Co10 Co 0.5727 0.9321 0.3501
Co11 Co 0.5843 0.2500 0.8452
Co12 Co 0.6994 0.7500 0.5977
Co13 Co 0.8006 0.2500 0.0977
Co14 Co 0.9157 0.7500 0.3452
Co15 Co 0.9273 0.0679 0.8501
Co16 Co 0.9273 0.4321 0.8501
Os1 Os 0.1721 0.7500 0.4044
Os2 Os 0.3279 0.2500 0.9044
Os3 Os 0.6721 0.7500 0.0956
Os4 Os 0.8279 0.2500 0.5956
```

Peak list (10 most intense, 5 to 70 degrees two-theta, by angle)
2θ/deg  intensity
30.20  61.2
32.16  31.5
35.14  100.0
38.16  29.3
38.45  60.2
43.32  28.9
43.42  38.3
45.95  40.7
59.99  19.4
61.34  23.3


(2)
Simulated XRD peak list of ClF for Cu Ka, from a DFT-relaxed cell (PBE, Alexandria).
Kinematic intensities with the Lorentz-polarization factor, no thermal factor.

Structure:
```
data_ClF
_cell_length_a 6.6480
_cell_length_b 3.6983
_cell_length_c 7.4774
_cell_angle_alpha 90.00
_cell_angle_beta 106.28
_cell_angle_gamma 90.00
_symmetry_space_group_name_H-M 'P 1'
_symmetry_Int_Tables_number 1
_symmetry_space_group_name_Hall 'P 1'
loop_
_atom_site_label
_atom_site_type_symbol
_atom_site_fract_x
_atom_site_fract_y
_atom_site_fract_z
Cl1 Cl 0.1513 0.0113 0.2897
Cl2 Cl 0.1513 0.4887 0.7897
Cl3 Cl 0.8487 0.5113 0.2103
Cl4 Cl 0.8487 0.9887 0.7103
F1 F 0.3650 0.2189 0.8461
F2 F 0.3650 0.2811 0.3461
F3 F 0.6350 0.7189 0.6539
F4 F 0.6350 0.7811 0.1539
```

Peak list (10 most intense, 5 to 70 degrees two-theta, by angle)
2θ/deg  intensity
13.88  8.7
24.82  100.0
27.90  17.0
28.91  14.9
32.19  30.7
34.84  16.6
36.64  29.1
41.91  14.1
48.71  11.7
50.76  9.9


(3)
Simulated XRD peak list of Pm5Pr12Sn2 for Cu Ka, from a DFT-relaxed cell (PBE, Alexandria).
Kinematic intensities with the Lorentz-polarization factor, no thermal factor.

Structure:
```
data_Pm5Pr12Sn2
_cell_length_a 9.2135
_cell_length_b 9.2135
_cell_length_c 8.7492
_cell_angle_alpha 93.09
_cell_angle_beta 93.09
_cell_angle_gamma 63.50
_symmetry_space_group_name_H-M 'P 1'
_symmetry_Int_Tables_number 1
_symmetry_space_group_name_Hall 'P 1'
loop_
_atom_site_label
_atom_site_type_symbol
_atom_site_fract_x
_atom_site_fract_y
_atom_site_fract_z
Pm1 Pm 0.0000 0.0000 0.0000
Pm2 Pm 0.2353 0.2353 0.0892
Pm3 Pm 0.3210 0.3210 0.4975
Pm4 Pm 0.6790 0.6790 0.5025
Pm5 Pm 0.7647 0.7647 0.9108
Pr1 Pr 0.0339 0.6675 0.2668
Pr2 Pr 0.0789 0.0789 0.3833
Pr3 Pr 0.1831 0.5727 0.8415
Pr4 Pr 0.3325 0.9661 0.7332
Pr5 Pr 0.4273 0.8169 0.1585
Pr6 Pr 0.4480 0.4480 0.1916
Pr7 Pr 0.5520 0.5520 0.8084
Pr8 Pr 0.5727 0.1831 0.8415
Pr9 Pr 0.6675 0.0339 0.2668
Pr10 Pr 0.8169 0.4273 0.1585
Pr11 Pr 0.9211 0.9211 0.6167
Pr12 Pr 0.9661 0.3325 0.7332
Sn1 Sn 0.3062 0.6938 0.5000
Sn2 Sn 0.6938 0.3062 0.5000
```

Peak list (10 most intense, 5 to 70 degrees two-theta, by angle)
2θ/deg  intensity
29.00  45.6
29.32  100.0
29.90  41.8
30.16  36.7
31.16  90.4
31.64  95.1
32.28  61.4
34.56  52.0
54.56  39.5
56.50  57.7